Diffraction record for Mg6SbPd12. The powder XRD pattern is calculated, not measured: it uses DFT lattice parameters and positions (PBE) and Cu Kα X-rays.
No peak broadening, texture or thermal motion is included.

Structural model:
Lattice parameters (Å, degrees): 7.111 7.111 7.111 103.05 103.05 103.05
Element x y z (fractional)
Mg 0.053 0.334 0.334
Mg 0.334 0.053 0.334
Mg 0.334 0.334 0.053
Mg 0.666 0.666 0.947
Mg 0.666 0.947 0.666
Mg 0.947 0.666 0.666
Sb 0.500 0.500 0.500
Pd 0.079 0.079 0.690
Pd 0.079 0.690 0.079
Pd 0.239 0.500 0.761
Pd 0.239 0.761 0.500
Pd 0.310 0.921 0.921
Pd 0.500 0.239 0.761
Pd 0.500 0.761 0.239
Pd 0.690 0.079 0.079
Pd 0.761 0.239 0.500
Pd 0.761 0.500 0.239
Pd 0.921 0.310 0.921
Pd 0.921 0.921 0.310

Peak list (8 most intense, 2θ = 10–90°, sorted by position)
| 2theta | I_rel |
| --- | --- |
| 15.92 | 31.4 |
| 21.56 | 51.1 |
| 31.42 | 35.4 |
| 38.63 | 100.0 |
| 39.04 | 43.8 |
| 40.86 | 82.6 |
| 42.03 | 44.1 |
| 42.41 | 31.8 |